1.
This entry pairs a crystal structure of NdAuSO with its theoretical XRD peak list. Radiation: a wavelength of 1.5418 Å. Structure: a DFT-relaxed cell (GGA-PBE, OQMD).
Peak positions follow from Bragg's law for the DFT cell and can differ from measured ones.

Atomic structure:
Cell lengths 9.073, 4.085, 4.085 Å; angles 90.01, 90.00, 90.00 degrees
Atoms (fractional coordinates):
Nd 0.130 0.250 0.750
Nd 0.870 0.750 0.250
Au 0.500 0.001 0.001
Au 0.500 0.501 0.501
S 0.289 0.751 0.251
S 0.711 0.251 0.751
O 0.000 0.250 0.250
O 0.000 0.750 0.750

Most intense lines, 10° ≤ 2θ ≤ 90°, sorted by position:
| d [Å] | Rel. int. |
| --- | --- |
| 4.537 | 58.9 |
| 3.036 | 74.9 |
| 3.024 | 51.7 |
| 2.888 | 82.9 |
| 2.752 | 100.0 |
| 2.435 | 89.2 |
| 2.089 | 51.7 |
| 1.992 | 82.7 |
| 1.862 | 35.0 |
| 1.784 | 37.4 |
| 1.694 | 34.7 |
| 1.518 | 36.3 |


2.
This entry pairs a crystal structure of HoErPt2 with its theoretical XRD peak list. Radiation: a wavelength of 1.5418 Å. Structure: a DFT-relaxed cell (GGA-PBE, OQMD).
Peak positions follow from Bragg's law for the DFT cell and can differ from measured ones.

Atomic structure:
Cell lengths 4.479, 6.970, 5.543 Å; angles 90.00, 90.00, 90.00 degrees
Atoms (fractional coordinates):
Ho 0.000 0.068 0.000
Ho 0.500 0.932 0.500
Er 0.000 0.568 0.781
Er 0.500 0.432 0.281
Pt 0.000 0.207 0.485
Pt 0.000 0.704 0.296
Pt 0.500 0.296 0.796
Pt 0.500 0.793 0.985

Most intense lines, 10° ≤ 2θ ≤ 90°, sorted by position:
| d [Å] | Rel. int. |
| --- | --- |
| 3.116 | 17.0 |
| 2.750 | 73.4 |
| 2.575 | 45.9 |
| 2.464 | 100.0 |
| 2.239 | 51.1 |
| 2.233 | 90.3 |
| 2.143 | 20.8 |
| 1.690 | 26.1 |
| 1.662 | 23.4 |
| 1.335 | 22.7 |
| 1.292 | 16.0 |
| 1.215 | 16.1 |